Computed X-ray diffraction stick pattern of CeUB12 for Cu Ka, from the GGA-PBE geometry in Alexandria.
No peak broadening, texture or thermal motion is included.

The 8 most intense peaks (2θ = 10–90°), sorted by position:
(hkl)	two_theta	I_rel
1 0 0	21.7	74.5
1 1 0	30.9	100.0
1 1 2	38.1	42.0
2 0 0	44.3	21.2
2 1 0	49.8	51.3
2 1 2	55.0	30.4
2 2 2	68.9	28.4
3 1 0	73.2	20.3

Crystal structure
Cell: 4.0912 4.0912 8.1809 Å, 90.00 90.00 90.00°
Fractional coordinates of all 14 atoms:
Ce (0.0000, 0.0000, 0.0000)
U (0.0000, 0.0000, 0.5000)
B (0.1978, 0.5000, 0.2515)
B (0.1978, 0.5000, 0.7485)
B (0.5000, 0.1978, 0.2515)
B (0.5000, 0.1978, 0.7485)
B (0.5000, 0.5000, 0.0997)
B (0.5000, 0.5000, 0.4018)
B (0.5000, 0.5000, 0.5982)
B (0.5000, 0.5000, 0.9003)
B (0.5000, 0.8022, 0.2515)
B (0.5000, 0.8022, 0.7485)
B (0.8022, 0.5000, 0.2515)
B (0.8022, 0.5000, 0.7485)